Starting from a cell relaxed with PBE, the PXRD pattern of Tb6Zn5Sn was computed for Cu Ka.
Lines closer than 0.1° are merged.

Cell and atoms:
```
12
Lattice="-2.554 3.624 7.700 2.554 -3.624 7.700 2.554 3.624 -7.700" Properties=species:S:1:pos:R:3 pbc="T T T"
Tb 2.554 1.777 -2.622
Tb 0.000 1.745 0.000
Tb 2.554 1.777 2.622
Tb 0.000 1.847 5.078
Tb 0.000 5.503 0.000
Tb 0.000 1.847 10.322
Zn 2.554 0.000 0.000
Zn 0.000 0.000 2.584
Zn 2.554 0.000 5.087
Zn 0.000 3.624 2.613
Zn 0.000 0.000 12.816
Sn 0.000 0.000 7.700
```

Top 6 peaks for 2θ from 10° to 90°, low angle first:
d = 3.622 Å, 2θ = 24.6°, I = 16; d = 2.563 Å, 2θ = 35.0°, I = 100; d = 2.554 Å, 2θ = 35.1°, I = 20; d = 1.811 Å, 2θ = 50.4°, I = 21; d = 1.481 Å, 2θ = 62.8°, I = 21; d = 1.477 Å, 2θ = 62.9°, I = 22

***

Starting from a cell relaxed with PBE, the PXRD pattern of Tb2Zn5Sn was computed for Cu Ka.
Lines closer than 0.1° are merged.

Cell and atoms:
```
16
Lattice="2.177 -8.133 0.000 2.177 8.133 0.000 0.000 0.000 9.023" Properties=species:S:1:pos:R:3 pbc="T T T"
Tb 0.000 0.000 0.000
Tb 0.000 0.000 4.511
Tb 2.177 4.842 6.767
Tb 2.177 -4.842 2.256
Zn 2.177 5.085 0.980
Zn 2.177 5.085 3.531
Zn 2.177 2.530 0.175
Zn 2.177 2.530 4.337
Zn 2.177 1.783 6.767
Zn 2.177 -1.783 2.256
Zn 2.177 -2.530 4.686
Zn 2.177 -2.530 8.848
Zn 2.177 -5.085 5.492
Zn 2.177 -5.085 8.042
Sn 2.177 0.841 2.256
Sn 2.177 -0.841 6.767
```

Top 6 peaks for 2θ from 10° to 90°, low angle first:
d = 3.076 Å, 2θ = 29.0°, I = 31; d = 2.712 Å, 2θ = 33.0°, I = 100; d = 2.606 Å, 2θ = 34.4°, I = 53; d = 2.446 Å, 2θ = 36.7°, I = 36; d = 2.254 Å, 2θ = 40.0°, I = 28; d = 2.177 Å, 2θ = 41.5°, I = 45

***

Starting from a cell relaxed with PBE, the PXRD pattern of Tb2Zr3Sn4 was computed for Cu Ka.
Lines closer than 0.1° are merged.

Cell and atoms:
```
18
Lattice="7.892 0.000 0.000 0.000 7.874 0.000 -2.683 0.000 7.218" Properties=species:S:1:pos:R:3 pbc="T T T"
Tb 1.313 1.335 0.417
Tb -0.028 2.602 4.026
Tb 5.237 5.272 3.192
Tb 3.895 6.539 6.801
Zr 1.341 5.312 1.776
Zr -0.001 6.500 5.385
Zr 2.604 0.000 3.609
Zr 3.946 3.937 0.000
Zr 5.210 1.375 1.833
Zr 3.868 2.562 5.442
Sn -1.621 4.219 6.132
Sn -0.280 7.593 2.523
Sn 1.520 1.073 6.203
Sn 2.862 2.864 2.594
Sn 2.347 5.010 4.624
Sn 3.689 6.801 1.015
Sn 5.489 0.282 4.695
Sn 6.830 3.656 1.086
```

Top 6 peaks for 2θ from 10° to 90°, low angle first:
d = 2.964 Å, 2θ = 30.1°, I = 41; d = 2.948 Å, 2θ = 30.3°, I = 39; d = 2.766 Å, 2θ = 32.4°, I = 76; d = 2.698 Å, 2θ = 33.2°, I = 100; d = 2.466 Å, 2θ = 36.4°, I = 76; d = 2.440 Å, 2θ = 36.8°, I = 62

***

Starting from a cell relaxed with PBE, the PXRD pattern of TcSn4 was computed for Cu Ka.
Lines closer than 0.1° are merged.

Cell and atoms:
```
10
Lattice="5.989 0.000 0.000 0.000 5.989 0.000 0.000 0.000 6.653" Properties=species:S:1:pos:R:3 pbc="T T T"
Tc 0.000 0.000 0.000
Tc 2.995 2.995 3.326
Sn 1.181 1.191 2.286
Sn 1.191 4.808 4.367
Sn 1.803 1.813 5.612
Sn 1.813 4.186 1.041
Sn 4.176 1.803 1.041
Sn 4.186 4.176 5.612
Sn 4.798 1.181 4.367
Sn 4.808 4.798 2.286
```

Top 6 peaks for 2θ from 10° to 90°, low angle first:
d = 2.995 Å, 2θ = 29.8°, I = 34; d = 2.616 Å, 2θ = 34.3°, I = 100; d = 2.485 Å, 2θ = 36.2°, I = 85; d = 2.117 Å, 2θ = 42.7°, I = 27; d = 1.419 Å, 2θ = 65.8°, I = 27; d = 1.329 Å, 2θ = 70.9°, I = 26

***

Starting from a cell relaxed with PBE, the PXRD pattern of Tc6Sn was computed for Cu Ka.
Lines closer than 0.1° are merged.

Cell and atoms:
```
7
Lattice="-3.384 3.384 3.384 3.384 -3.384 3.384 3.384 3.384 -3.384" Properties=species:S:1:pos:R:3 pbc="T T T"
Tc 3.384 1.692 0.000
Tc 3.384 0.000 1.692
Tc 1.692 3.384 0.000
Tc 1.692 0.000 3.384
Tc 0.000 3.384 1.692
Tc 0.000 1.692 3.384
Sn 0.000 0.000 0.000
```

Top 6 peaks for 2θ from 10° to 90°, low angle first:
d = 3.384 Å, 2θ = 26.3°, I = 43; d = 2.763 Å, 2θ = 32.4°, I = 100; d = 1.954 Å, 2θ = 46.5°, I = 26; d = 1.809 Å, 2θ = 50.5°, I = 57; d = 1.692 Å, 2θ = 54.2°, I = 29; d = 1.196 Å, 2θ = 80.2°, I = 18

***

Starting from a cell relaxed with PBE, the PXRD pattern of TcSn2 was computed for Cu Ka.
Lines closer than 0.1° are merged.

Cell and atoms:
```
6
Lattice="5.005 -1.760 0.000 5.005 1.760 0.000 -3.795 0.000 7.022" Properties=species:S:1:pos:R:3 pbc="T T T"
Tc 0.775 0.000 1.283
Tc 5.439 0.000 5.739
Sn -0.536 0.000 3.883
Sn 3.603 0.000 0.849
Sn 2.611 0.000 6.173
Sn 6.750 0.000 3.139
```

Top 6 peaks for 2θ from 10° to 90°, low angle first:
d = 2.782 Å, 2θ = 32.2°, I = 100; d = 2.636 Å, 2θ = 34.0°, I = 85; d = 2.419 Å, 2θ = 37.2°, I = 69; d = 2.341 Å, 2θ = 38.5°, I = 45; d = 2.254 Å, 2θ = 40.0°, I = 50; d = 2.204 Å, 2θ = 41.0°, I = 88

***

Starting from a cell relaxed with PBE, the PXRD pattern of Tc2Sn13 was computed for Cu Ka.
Lines closer than 0.1° are merged.

Cell and atoms:
```
15
Lattice="6.915 0.000 0.000 1.240 7.143 0.000 2.110 2.120 7.874" Properties=species:S:1:pos:R:3 pbc="T T T"
Tc 1.720 0.912 1.373
Tc 8.544 8.351 6.501
Sn 1.055 1.060 3.937
Sn 2.509 3.101 6.739
Sn 2.422 3.537 1.677
Sn 4.053 6.900 6.216
Sn 3.642 4.583 4.265
Sn 4.152 5.702 0.294
Sn 5.200 7.362 2.857
Sn 5.065 1.901 5.017
Sn 6.113 3.561 7.580
Sn 6.623 4.680 3.609
Sn 6.212 2.363 1.658
Sn 7.843 5.726 6.197
Sn 7.756 6.163 1.135
```

Top 6 peaks for 2θ from 10° to 90°, low angle first:
d = 2.894 Å, 2θ = 30.9°, I = 73; d = 2.879 Å, 2θ = 31.1°, I = 100; d = 2.635 Å, 2θ = 34.0°, I = 82; d = 2.513 Å, 2θ = 35.7°, I = 34; d = 2.301 Å, 2θ = 39.1°, I = 42; d = 2.248 Å, 2θ = 40.1°, I = 48

***

Starting from a cell relaxed with PBE, the PXRD pattern of TcSn4 was computed for Cu Ka.
Lines closer than 0.1° are merged.

Cell and atoms:
```
30
Lattice="7.514 -6.526 0.000 7.514 6.526 0.000 -6.097 0.000 7.603" Properties=species:S:1:pos:R:3 pbc="T T T"
Tc 3.346 0.952 1.198
Tc 2.941 3.632 5.702
Tc 0.298 -0.952 4.999
Tc 8.633 0.952 2.603
Tc 5.990 -3.632 1.901
Tc 5.585 -0.952 6.405
Sn 3.757 3.263 0.000
Sn -1.452 0.514 3.422
Sn 2.316 2.931 3.011
Sn -4.500 -0.514 7.223
Sn 0.643 4.138 7.567
Sn 5.240 4.138 3.837
Sn -1.326 0.164 6.745
Sn 1.211 1.560 5.738
Sn 1.723 -0.164 2.944
Sn 5.990 1.724 1.901
Sn 9.663 2.931 0.790
Sn 4.672 1.560 5.666
Sn 0.709 -3.263 3.801
Sn 4.260 -1.560 1.936
Sn -0.732 -2.931 6.812
Sn 2.941 -1.724 5.702
Sn 7.209 0.164 4.659
Sn 7.720 -1.560 1.865
Sn 10.257 -0.164 0.857
Sn 3.691 -4.138 3.766
Sn 8.289 -4.138 0.036
Sn 13.431 0.514 0.379
Sn 6.615 -2.931 4.592
Sn 10.383 -0.514 4.181
```

Top 6 peaks for 2θ from 10° to 90°, low angle first:
d = 3.145 Å, 2θ = 28.4°, I = 67; d = 3.009 Å, 2θ = 29.7°, I = 80; d = 2.723 Å, 2θ = 32.9°, I = 90; d = 2.371 Å, 2θ = 37.9°, I = 57; d = 2.359 Å, 2θ = 38.2°, I = 55; d = 2.309 Å, 2θ = 39.0°, I = 100

***

Starting from a cell relaxed with PBE, the PXRD pattern of Th3TcSn was computed for Cu Ka.
Lines closer than 0.1° are merged.

Cell and atoms:
```
10
Lattice="7.448 0.000 0.000 -3.724 6.450 0.000 0.000 0.000 6.007" Properties=species:S:1:pos:R:3 pbc="T T T"
Th 0.000 2.336 1.502
Th -1.701 5.282 1.502
Th 2.023 1.168 4.506
Th 1.701 5.282 1.502
Th 5.425 1.168 4.506
Th 3.724 4.114 4.506
Tc 0.000 0.000 0.000
Tc 0.000 0.000 3.004
Sn 0.000 4.300 4.506
Sn 3.724 2.150 1.502
```

Top 6 peaks for 2θ from 10° to 90°, low angle first:
d = 3.004 Å, 2θ = 29.7°, I = 21; d = 2.842 Å, 2θ = 31.5°, I = 100; d = 2.198 Å, 2θ = 41.1°, I = 26; d = 1.862 Å, 2θ = 48.9°, I = 23; d = 1.701 Å, 2θ = 53.9°, I = 23; d = 1.583 Å, 2θ = 58.3°, I = 16

***

Starting from a cell relaxed with PBE, the PXRD pattern of Th4TcSn was computed for Cu Ka.
Lines closer than 0.1° are merged.

Cell and atoms:
```
12
Lattice="7.442 0.000 0.000 0.000 7.442 0.000 0.000 0.000 6.188" Properties=species:S:1:pos:R:3 pbc="T T T"
Th 1.058 2.374 0.000
Th 1.058 5.068 3.094
Th 2.374 1.058 3.094
Th 2.374 6.384 0.000
Th 5.068 1.058 0.000
Th 5.068 6.384 3.094
Th 6.384 2.374 3.094
Th 6.384 5.068 0.000
Tc 0.000 0.000 1.547
Tc 0.000 0.000 4.641
Sn 3.721 3.721 1.547
Sn 3.721 3.721 4.641
```

Top 6 peaks for 2θ from 10° to 90°, low angle first:
d = 2.931 Å, 2θ = 30.5°, I = 100; d = 2.667 Å, 2θ = 33.6°, I = 19; d = 2.379 Å, 2θ = 37.8°, I = 24; d = 2.353 Å, 2θ = 38.2°, I = 28; d = 1.753 Å, 2θ = 52.2°, I = 27; d = 1.526 Å, 2θ = 60.7°, I = 17

***

Starting from a cell relaxed with PBE, the PXRD pattern of Th5Tc2Sn2 was computed for Cu Ka.
Lines closer than 0.1° are merged.

Cell and atoms:
```
18
Lattice="-8.482 4.639 3.242 8.482 -4.639 3.242 8.482 4.639 -3.242" Properties=species:S:1:pos:R:3 pbc="T T T"
Th 2.511 -0.975 1.311
Th 5.971 -0.975 1.311
Th 1.042 1.988 0.000
Th 7.440 1.988 0.000
Th 5.971 5.614 -1.931
Th 10.993 0.975 1.311
Th 4.241 3.862 1.314
Th 1.042 2.651 3.242
Th 7.440 2.651 3.242
Th 4.241 0.777 4.556
Tc 12.723 -1.141 1.173
Tc 0.000 0.000 1.894
Tc 8.482 0.000 1.894
Tc 4.241 1.141 1.173
Sn -1.373 4.004 1.211
Sn 1.373 -0.635 4.453
Sn 1.373 5.274 1.211
Sn 7.109 5.274 1.211
```

Top 6 peaks for 2θ from 10° to 90°, low angle first:
d = 3.186 Å, 2θ = 28.0°, I = 96; d = 2.713 Å, 2θ = 33.0°, I = 95; d = 2.692 Å, 2θ = 33.3°, I = 100; d = 2.656 Å, 2θ = 33.7°, I = 72; d = 2.496 Å, 2θ = 36.0°, I = 72; d = 1.868 Å, 2θ = 48.7°, I = 50

***

Starting from a cell relaxed with PBE, the PXRD pattern of Ti12TcSn6 was computed for Cu Ka.
Lines closer than 0.1° are merged.

Cell and atoms:
```
19
Lattice="5.068 2.926 3.960 -5.068 2.926 3.960 0.000 -5.852 3.960" Properties=species:S:1:pos:R:3 pbc="T T T"
Ti -1.338 -4.614 5.040
Ti -4.665 -1.148 6.841
Ti -1.149 -1.160 3.694
Ti -3.326 3.466 5.040
Ti -0.430 1.575 3.694
Ti 1.579 -0.415 3.694
Ti -1.579 0.415 8.187
Ti 0.430 -1.575 8.187
Ti 3.326 -3.466 6.841
Ti 1.149 1.160 8.187
Ti 4.665 1.148 5.040
Ti 1.338 4.614 6.841
Tc 0.000 0.000 5.940
Sn -2.762 0.647 5.384
Sn -1.942 -2.068 6.496
Sn 0.820 -2.716 5.384
Sn -0.820 2.716 6.496
Sn 1.942 2.068 5.384
Sn 2.762 -0.647 6.496
```

Top 6 peaks for 2θ from 10° to 90°, low angle first:
d = 3.121 Å, 2θ = 28.6°, I = 35; d = 2.385 Å, 2θ = 37.7°, I = 100; d = 2.353 Å, 2θ = 38.2°, I = 31; d = 2.294 Å, 2θ = 39.3°, I = 25; d = 2.253 Å, 2θ = 40.0°, I = 67; d = 2.213 Å, 2θ = 40.8°, I = 37